The following is a theoretical powder diffraction line list of RbUTlF6. It was derived from DFT lattice parameters and positions (PBE), using Cu Kα (weighted mean of Kα1 and Kα2).
Lines closer than 0.1° are merged.

Top 10 peaks for 2θ = 5–70°, sorted by position:
2θ = 17.34°, I = 323, hkl 1 0 1; 2θ = 23.73°, I = 1000, hkl 1 0 2; 2θ = 25.46°, I = 713, hkl 1 1 0; 2θ = 35.09°, I = 370, hkl 2 0 2; 2θ = 43.85°, I = 404, hkl 2 1 2; 2θ = 44.88°, I = 241, hkl 3 0 0; 2θ = 46.05°, I = 425, hkl 1 1 4; 2θ = 58.21°, I = 177, hkl 3 1 2; 2θ = 60.02°, I = 136, hkl 3 0 4; 2θ = 66.26°, I = 141, hkl 4 -2 4

```
data_RbUTlF6
_chemical_formula_sum 'Rb2 U2 Tl2 F12'
_cell_length_a 6.9957
_cell_length_b 6.9957
_cell_length_c 9.5443
_cell_angle_alpha 90.00
_cell_angle_beta 90.00
_cell_angle_gamma 120.00
_space_group_name_H-M_alt 'P -3 1 c'
_space_group_IT_number 163
_space_group_name_Hall '-P 3 2c'
loop_
_atom_site_label
_atom_site_fract_x
_atom_site_fract_y
_atom_site_fract_z
Rb1 0.3333 0.6667 0.2500
U1 0.3333 0.6667 0.7500
Tl1 0.0000 0.0000 0.0000
F1 0.0709 0.3994 0.6276
```